Entry 1:
Structure and simulated powder XRD pattern of PaFe5B2 (a GGA-PBE-relaxed structure; Cu Kα X-rays).

Atomic structure:
Unit cell a=5.748 b=5.748 c=5.748 alpha=148.26 beta=110.04 gamma=78.87
Element x y z (fractional)
Pa 0.000 0.000 0.000
Fe 0.151 0.342 0.809
Fe 0.467 0.658 0.809
Fe 0.500 0.000 0.500
Fe 0.533 0.342 0.191
Fe 0.849 0.658 0.191
B 0.256 0.756 0.500
B 0.744 0.244 0.500

Top 10 peaks for 2θ from 15° to 90°, by intensity:
2θ (°)	intensity
40.95	100
41.92	86
33.87	67
16.75	41
33.18	39
31.53	39
49.51	34
66.86	32
20.00	29
42.38	25

***

Entry 2:
Structure and simulated powder XRD pattern of Zn2Cd3Ag4 (a GGA-PBE-relaxed structure; Cu Kα X-rays).

Atomic structure:
Unit cell a=5.480 b=5.480 c=7.244 alpha=101.14 beta=101.14 gamma=50.66
Element x y z (fractional)
Zn 0.226 0.226 0.327
Zn 0.774 0.774 0.673
Cd 0.000 0.000 0.000
Cd 0.437 0.437 0.667
Cd 0.563 0.563 0.333
Ag 0.123 0.123 0.654
Ag 0.331 0.331 0.012
Ag 0.669 0.669 0.988
Ag 0.877 0.877 0.346

Top 10 peaks for 2θ from 15° to 90°, by intensity:
2θ (°)	intensity
38.19	100
38.62	62
38.40	33
55.24	21
69.56	19
69.32	11
68.72	11
55.68	10
69.66	10
81.78	7

***

Entry 3:
Structure and simulated powder XRD pattern of KYPbF6 (a GGA-PBE-relaxed structure; Cu Kα X-rays).

Atomic structure:
Unit cell a=6.412 b=6.412 c=5.147 alpha=90.00 beta=90.00 gamma=120.00
Element x y z (fractional)
K 0.000 0.000 0.000
Y 0.667 0.333 0.500
Pb 0.333 0.667 0.500
F 0.380 0.031 0.722
F 0.380 0.348 0.278
F 0.652 0.031 0.278
F 0.652 0.620 0.722
F 0.969 0.348 0.722
F 0.969 0.620 0.278

Top 10 peaks for 2θ from 15° to 90°, by intensity:
2θ (°)	intensity
23.57	100
32.91	65
45.18	58
17.23	57
27.83	57
15.96	54
46.74	33
36.78	31
49.22	27
52.54	19

***

Entry 4:
Structure and simulated powder XRD pattern of K4BeBr6 (a GGA-PBE-relaxed structure; Cu Kα X-rays).

Atomic structure:
Unit cell a=8.828 b=8.828 c=15.566 alpha=108.82 beta=108.82 gamma=53.36
Element x y z (fractional)
K 0.146 0.854 0.500
K 0.210 0.509 0.047
K 0.383 0.755 0.827
K 0.509 0.210 0.547
K 0.522 0.934 0.181
K 0.755 0.383 0.327
K 0.854 0.146 0.000
K 0.934 0.522 0.681
Be 0.060 0.518 0.282
Be 0.518 0.060 0.782
Br 0.180 0.630 0.634
Br 0.217 0.244 0.331
Br 0.244 0.217 0.831
Br 0.244 0.618 0.294
Br 0.287 0.793 0.015
Br 0.487 0.926 0.635
Br 0.618 0.244 0.794
Br 0.630 0.180 0.134
Br 0.736 0.824 0.863
Br 0.793 0.287 0.515
Br 0.824 0.736 0.363
Br 0.926 0.487 0.135

Top 10 peaks for 2θ from 15° to 90°, by intensity:
2θ (°)	intensity
25.58	100
24.13	61
26.38	56
22.82	54
35.86	47
38.59	39
36.34	37
36.60	36
34.12	35
32.38	34

***

Entry 5:
Structure and simulated powder XRD pattern of Tb4ErTl4 (a GGA-PBE-relaxed structure; Cu Kα X-rays).

Atomic structure:
Unit cell a=9.357 b=9.357 c=5.978 alpha=90.00 beta=90.00 gamma=90.00
Element x y z (fractional)
Tb 0.087 0.826 0.127
Tb 0.174 0.587 0.627
Tb 0.326 0.913 0.627
Tb 0.413 0.674 0.127
Tb 0.587 0.326 0.873
Tb 0.674 0.087 0.373
Tb 0.826 0.413 0.373
Tb 0.913 0.174 0.873
Er 0.250 0.250 0.750
Er 0.750 0.750 0.250
Tl 0.042 0.149 0.365
Tl 0.149 0.458 0.135
Tl 0.351 0.042 0.135
Tl 0.458 0.351 0.365
Tl 0.542 0.649 0.635
Tl 0.649 0.958 0.865
Tl 0.851 0.542 0.865
Tl 0.958 0.851 0.635

Top 10 peaks for 2θ from 15° to 90°, by intensity:
2θ (°)	intensity
30.21	100
36.96	82
32.38	70
37.79	65
31.42	61
30.89	49
33.80	28
58.16	24
62.82	23
65.79	20

***

Entry 6:
Structure and simulated powder XRD pattern of Pm2NdSbO8 (a GGA-PBE-relaxed structure; Cu Kα X-rays).

Atomic structure:
Unit cell a=4.439 b=7.185 c=5.444 alpha=90.00 beta=90.21 gamma=90.00
Element x y z (fractional)
Pm 0.000 0.243 0.000
Pm 0.000 0.757 0.000
Nd 0.500 0.000 0.500
Sb 0.500 0.500 0.500
O 0.053 0.000 0.752
O 0.074 0.500 0.623
O 0.441 0.294 0.254
O 0.441 0.706 0.254
O 0.559 0.294 0.746
O 0.559 0.706 0.746
O 0.926 0.500 0.377
O 0.947 0.000 0.248

Top 10 peaks for 2θ from 15° to 90°, by intensity:
2θ (°)	intensity
25.90	100
29.80	81
32.05	39
46.65	29
46.54	27
40.65	22
57.92	21
32.90	19
51.15	17
51.26	17

***

Entry 7:
Structure and simulated powder XRD pattern of LaNdYMg (a GGA-PBE-relaxed structure; Cu Kα X-rays).

Atomic structure:
Unit cell a=3.725 b=3.725 c=9.286 alpha=90.00 beta=90.00 gamma=90.00
Element x y z (fractional)
La 0.000 0.000 0.000
Nd 0.500 0.500 0.279
Y 0.000 0.000 0.544
Mg 0.500 0.500 0.759

Top 10 peaks for 2θ from 15° to 90°, by intensity:
2θ (°)	intensity
30.77	100
34.04	40
58.90	31
25.77	26
52.55	19
48.90	14
38.79	11
45.20	11
64.10	10
28.84	9